Cs4Rb2ZnCoO5: computed PXRD pattern (Cu Kα), based on a structure optimized by DFT (GGA+U).
Lines closer than 0.1° are merged.

Structure:
Cell: 7.1200 7.1200 7.1967 Å, 93.72 93.72 117.84°
Element x y z (fractional)
Cs: 0.2034 0.7966 0.0000
Cs: 0.2389 0.7567 0.4951
Cs: 0.7567 0.2389 0.4951
Cs: 0.7966 0.2034 0.0000
Rb: 0.3589 0.3589 0.1989
Rb: 0.6224 0.6224 0.8460
Zn: 0.8109 0.8109 0.3074
Co: 0.2136 0.2136 0.6727
O: 0.0602 0.0602 0.4307
O: 0.1652 0.4270 0.7728
O: 0.4270 0.1652 0.7728
O: 0.5564 0.8213 0.2218
O: 0.8213 0.5564 0.2218

Main lines, by angle (10 to 90 degrees two-theta):
Position (°2θ)  I_rel
25.08  28
27.38  39
28.52  84
28.98  100
29.29  43
32.83  31
36.07  31
37.41  32